No. 1
Structure and theoretical powder XRD pattern of NpCo2 (a crystal structure in the Materials Project, relaxed with GGA-PBE; Cu Kα).
No peak broadening, texture or thermal motion is included.

Peak list (10 most intense, 15 to 90 degrees two-theta, by intensity)
| 2θ/deg | I/Imax |
| --- | --- |
| 43.12 | 100.0 |
| 36.53 | 83.3 |
| 22.13 | 35.7 |
| 65.75 | 31.3 |
| 70.31 | 31.1 |
| 77.63 | 21.6 |
| 88.98 | 14.8 |
| 57.76 | 9.5 |
| 45.14 | 8.6 |
| 81.92 | 7.7 |

```
6
Lattice="0.000 3.479 3.479 3.479 0.000 3.479 3.479 3.479 0.000" Properties=species:S:1:pos:R:3 pbc="T T T"
Np 0.870 0.870 0.870
Np 6.088 6.088 6.088
Co 3.479 1.739 1.739
Co 1.739 3.479 1.739
Co 1.739 1.739 3.479
Co 3.479 3.479 3.479
```

---

No. 2
Structure and theoretical powder XRD pattern of Al2O3 (a crystal structure in the Materials Project, relaxed with GGA-PBE; Cu Kα).
No peak broadening, texture or thermal motion is included.

Peak list (10 most intense, 15 to 90 degrees two-theta, by intensity)
| 2θ/deg | I/Imax |
| --- | --- |
| 19.19 | 100.0 |
| 38.94 | 60.3 |
| 36.38 | 50.0 |
| 45.98 | 39.6 |
| 48.57 | 36.7 |
| 39.28 | 35.4 |
| 32.27 | 34.9 |
| 18.91 | 29.7 |
| 33.78 | 27.0 |
| 46.20 | 22.2 |

```
40
Lattice="5.594 0.000 0.000 2.524 5.311 0.000 0.800 2.784 13.876" Properties=species:S:1:pos:R:3 pbc="T T T"
Al 0.000 0.000 0.000
Al 2.014 4.678 8.119
Al 1.196 1.736 6.772
Al 2.387 2.728 4.248
Al 3.350 5.191 13.664
Al 4.707 6.838 11.200
Al 3.868 4.043 2.290
Al 3.912 4.227 10.714
Al 5.021 5.311 8.454
Al 6.100 7.756 13.576
Al 4.108 2.425 8.017
Al 5.835 5.257 5.207
Al 4.129 1.052 2.221
Al 5.032 2.561 4.636
Al 6.578 3.620 1.981
Al 6.959 4.360 11.372
O 2.360 5.061 2.044
O 1.008 2.698 12.029
O 2.209 4.001 9.817
O 2.882 5.172 11.952
O 1.516 0.987 0.202
O 3.511 5.416 7.385
O 2.424 2.853 7.439
O 2.480 2.561 2.452
O 4.095 6.141 9.729
O 1.974 1.283 5.199
O 3.766 3.808 0.256
O 3.786 3.810 4.344
O 3.614 2.549 11.736
O 5.395 5.019 2.276
O 5.394 5.115 11.570
O 4.799 3.638 9.118
O 4.004 1.056 0.269
O 4.269 1.042 4.170
O 5.130 2.579 2.408
O 6.628 6.165 8.803
O 6.129 4.857 6.890
O 5.127 2.295 6.477
O 6.467 3.641 4.482
O 6.740 3.786 0.173
```

---

No. 3
Structure and theoretical powder XRD pattern of DyHo3 (a crystal structure in the Materials Project, relaxed with GGA-PBE; Cu Kα).
No peak broadening, texture or thermal motion is included.

Peak list (10 most intense, 15 to 90 degrees two-theta, by intensity)
| 2θ/deg | I/Imax |
| --- | --- |
| 32.82 | 100.0 |
| 31.68 | 24.4 |
| 28.65 | 23.7 |
| 61.07 | 22.6 |
| 57.16 | 20.7 |
| 50.74 | 19.7 |
| 61.76 | 16.4 |
| 43.23 | 15.7 |
| 83.92 | 14.1 |
| 87.89 | 8.5 |

```
8
Lattice="7.197 0.000 0.000 -3.598 6.232 0.000 0.000 0.000 5.649" Properties=species:S:1:pos:R:3 pbc="T T T"
Dy 0.000 4.155 1.412
Dy 3.598 2.077 4.237
Ho 0.000 2.074 4.237
Ho -1.802 5.196 4.237
Ho 1.796 1.037 1.412
Ho 1.802 5.196 4.237
Ho 5.401 1.037 1.412
Ho 3.598 4.159 1.412
```

---

No. 4
Structure and theoretical powder XRD pattern of Pr2AlSi (a crystal structure in the Materials Project, relaxed with GGA-PBE; Cu Kα).
No peak broadening, texture or thermal motion is included.

Peak list (10 most intense, 15 to 90 degrees two-theta, by intensity)
| 2θ/deg | I/Imax |
| --- | --- |
| 30.48 | 100.0 |
| 26.73 | 63.9 |
| 30.72 | 60.1 |
| 21.19 | 31.7 |
| 37.89 | 29.3 |
| 31.28 | 27.2 |
| 48.78 | 25.1 |
| 54.73 | 23.4 |
| 40.02 | 22.9 |
| 49.93 | 22.3 |

```
4
Lattice="4.104 0.000 0.000 0.000 2.253 5.719 0.000 -2.253 5.719" Properties=species:S:1:pos:R:3 pbc="T T T"
Pr 0.000 0.000 0.000
Pr 2.052 0.000 3.260
Al 2.052 0.000 6.607
Si 0.000 0.000 8.157
```

---

No. 5
Structure and theoretical powder XRD pattern of MgTl2Cu2O4 (a crystal structure in the Materials Project, relaxed with GGA-PBE; Cu Kα).
No peak broadening, texture or thermal motion is included.

Peak list (10 most intense, 15 to 90 degrees two-theta, by intensity)
| 2θ/deg | I/Imax |
| --- | --- |
| 22.87 | 100.0 |
| 22.20 | 51.0 |
| 25.40 | 47.3 |
| 46.72 | 45.7 |
| 35.19 | 45.3 |
| 33.12 | 40.3 |
| 29.88 | 39.3 |
| 31.99 | 38.1 |
| 31.69 | 36.6 |
| 45.65 | 33.4 |

```
9
Lattice="5.567 0.000 0.000 0.000 5.595 0.000 -1.395 0.000 5.731" Properties=species:S:1:pos:R:3 pbc="T T T"
Mg 0.000 0.000 0.000
Tl -0.205 2.797 1.699
Tl 2.135 0.000 3.156
Cu 2.727 2.797 0.018
Cu 2.755 0.000 0.243
O 1.417 1.364 0.401
O 1.417 4.230 0.401
O 2.670 1.345 5.588
O 2.670 4.250 5.588
```

---

No. 6
Structure and theoretical powder XRD pattern of Gd2Co17 (a crystal structure in the Materials Project, relaxed with GGA-PBE; Cu Kα).
No peak broadening, texture or thermal motion is included.

Peak list (10 most intense, 15 to 90 degrees two-theta, by intensity)
| 2θ/deg | I/Imax |
| --- | --- |
| 43.81 | 100.0 |
| 43.52 | 65.1 |
| 41.77 | 41.9 |
| 30.79 | 41.1 |
| 37.46 | 40.0 |
| 44.67 | 32.4 |
| 49.24 | 19.9 |
| 81.73 | 17.8 |
| 64.14 | 17.1 |
| 47.38 | 16.1 |

```
38
Lattice="4.164 -7.194 0.000 4.164 7.194 0.000 0.000 0.000 8.114" Properties=species:S:1:pos:R:3 pbc="T T T"
Gd 4.164 7.192 2.029
Gd 4.164 -7.192 6.086
Gd 4.164 2.399 6.086
Gd 4.164 -2.399 2.029
Co 2.082 3.597 0.000
Co 2.082 3.597 4.057
Co 1.773 2.369 2.029
Co 2.994 4.484 2.029
Co 2.084 1.201 4.236
Co 2.084 1.201 7.936
Co 4.164 4.794 4.233
Co 4.164 4.794 7.938
Co 2.939 0.344 2.029
Co 5.334 4.484 2.029
Co 4.164 2.400 0.864
Co 4.164 2.400 3.193
Co 2.084 -1.201 0.178
Co 2.084 -1.201 3.879
Co 2.939 -0.344 6.086
Co 1.773 -2.369 6.086
Co 2.082 -3.597 0.000
Co 2.082 -3.597 4.057
Co 4.164 0.000 0.000
Co 4.164 0.000 4.057
Co 6.555 2.369 2.029
Co 5.389 0.344 2.029
Co 6.244 1.201 4.236
Co 6.244 1.201 7.936
Co 4.164 -2.400 4.921
Co 4.164 -2.400 7.250
Co 2.994 -4.484 6.086
Co 5.389 -0.344 6.086
Co 4.164 -4.794 0.176
Co 4.164 -4.794 3.881
Co 6.244 -1.201 0.178
Co 6.244 -1.201 3.879
Co 5.334 -4.484 6.086
Co 6.555 -2.369 6.086
```

---

No. 7
Structure and theoretical powder XRD pattern of Ca4P2O9 (a crystal structure in the Materials Project, relaxed with GGA-PBE; Cu Kα).
No peak broadening, texture or thermal motion is included.

Peak list (10 most intense, 15 to 90 degrees two-theta, by intensity)
| 2θ/deg | I/Imax |
| --- | --- |
| 29.53 | 100.0 |
| 28.99 | 82.3 |
| 32.12 | 49.1 |
| 30.89 | 44.5 |
| 25.20 | 39.5 |
| 32.62 | 38.3 |
| 31.76 | 29.2 |
| 27.76 | 28.4 |
| 45.46 | 28.1 |
| 51.74 | 27.4 |

```
60
Lattice="7.069 0.000 0.000 0.000 12.102 0.000 -0.163 0.000 9.554" Properties=species:S:1:pos:R:3 pbc="T T T"
Ca 0.013 0.000 3.491
Ca 0.087 2.735 8.558
Ca 1.547 9.273 4.505
Ca 1.766 5.935 0.112
Ca 1.709 11.673 7.083
Ca 1.867 3.260 2.401
Ca 3.286 9.349 0.983
Ca 3.359 0.201 3.916
Ca 3.547 6.252 5.638
Ca 3.620 3.298 8.572
Ca 5.039 9.310 7.154
Ca 5.197 5.623 2.471
Ca 5.140 11.986 9.442
Ca 5.359 3.222 5.049
Ca 6.819 8.786 0.996
Ca 6.893 6.051 6.063
P 1.517 8.206 7.505
P 1.651 12.012 0.859
P 1.622 6.398 3.038
P 1.945 2.965 5.960
P 4.961 9.016 3.594
P 5.284 0.347 6.517
P 5.255 5.961 8.696
P 5.389 2.156 2.049
O 0.195 8.503 6.748
O 0.501 5.477 2.519
O 0.411 0.522 9.484
O 0.576 3.711 5.953
O 1.111 10.696 1.514
O 1.444 6.845 4.522
O 1.473 8.540 9.022
O 1.564 11.396 4.864
O 1.693 7.692 2.161
O 1.876 3.727 0.150
O 1.785 6.662 7.398
O 1.984 0.856 2.047
O 1.902 1.945 7.156
O 2.236 2.269 4.620
O 2.615 9.042 6.800
O 2.908 11.660 0.009
O 2.922 5.571 2.925
O 3.128 3.951 6.286
O 3.778 10.002 3.268
O 3.984 11.622 6.629
O 3.998 5.610 9.546
O 4.291 2.991 2.755
O 4.670 8.319 4.934
O 4.922 6.907 7.507
O 5.004 7.996 2.399
O 5.121 0.611 2.156
O 5.030 9.778 9.404
O 5.213 1.641 7.393
O 5.342 5.346 4.690
O 5.433 2.489 0.533
O 5.462 0.794 5.033
O 5.795 4.645 8.041
O 6.330 9.762 3.601
O 6.495 6.573 0.070
O 6.405 11.528 7.036
O 6.711 2.452 2.806
```